(1)
Starting from a structure optimized by DFT (PBE), the X-ray powder pattern of Ca2AcGe2 was calculated for Cu Kα (λ = 1.5418 Å).
Intensities are scaled so that the largest is 1000.

Peak list (8 most intense, 2θ = 10–80°, by angle)
2θ/deg	intensity
16.42	364
25.10	372
28.80	1000
29.52	684
29.87	417
38.26	386
40.63	400
42.24	381

Structural model:
```
data_Ca2AcGe2
_cell_length_a 5.4102
_cell_length_b 4.7049
_cell_length_c 11.8793
_cell_angle_alpha 90.00
_cell_angle_beta 93.51
_cell_angle_gamma 90.00
_space_group_name_H-M_alt 'P 1 21/m 1'
_space_group_IT_number 11
_space_group_name_Hall '-P 2yb'
loop_
_atom_site_label
_atom_site_type_symbol
_atom_site_fract_x
_atom_site_fract_y
_atom_site_fract_z
Ca1 Ca 0.1355 0.2500 0.1085
Ca2 Ca 0.2435 0.7500 0.5042
Ac1 Ac 0.3571 0.2500 0.7646
Ge1 Ge 0.2436 0.2500 0.3524
Ge2 Ge 0.3744 0.7500 0.9832
```



(2)
Starting from a structure optimized by DFT (PBE), the X-ray powder pattern of Ca2Ac5Ge4 was calculated for Cu Kα (λ = 1.5418 Å).
Intensities are scaled so that the largest is 1000.

Peak list (8 most intense, 2θ = 10–80°, by angle)
2θ/deg	intensity
23.07	958
24.03	374
24.95	735
30.45	1000
32.72	414
34.10	336
36.89	794
39.34	366

Structural model:
```
data_Ca2Ac5Ge4
_cell_length_a 22.7723
_cell_length_b 4.5802
_cell_length_c 7.7752
_cell_angle_alpha 90.00
_cell_angle_beta 109.91
_cell_angle_gamma 90.00
_space_group_name_H-M_alt 'C 1 2/m 1'
_space_group_IT_number 12
_space_group_name_Hall '-C 2y'
loop_
_atom_site_label
_atom_site_type_symbol
_atom_site_fract_x
_atom_site_fract_y
_atom_site_fract_z
Ca1 Ca 0.0707 0.0000 0.0712
Ac1 Ac 0.0000 0.0000 0.5000
Ac2 Ac 0.1673 0.5000 0.4337
Ac3 Ac 0.1673 0.5000 0.9015
Ge1 Ge 0.9998 0.5000 0.1895
Ge2 Ge 0.2089 0.0000 0.2092
```



(3)
Starting from a structure optimized by DFT (PBE), the X-ray powder pattern of CaAc3Ge2 was calculated for Cu Kα (λ = 1.5418 Å).
Intensities are scaled so that the largest is 1000.

Peak list (8 most intense, 2θ = 10–80°, by angle)
2θ/deg	intensity
21.28	598
22.21	468
24.05	597
30.95	1000
32.52	766
32.96	918
33.84	827
49.38	427

Structural model:
```
data_CaAc3Ge2
_cell_length_a 7.4017
_cell_length_b 15.1712
_cell_length_c 8.0061
_cell_angle_alpha 90.00
_cell_angle_beta 90.00
_cell_angle_gamma 90.00
_space_group_name_H-M_alt 'I b a m'
_space_group_IT_number 72
_space_group_name_Hall '-I 2 2c'
loop_
_atom_site_label
_atom_site_type_symbol
_atom_site_fract_x
_atom_site_fract_y
_atom_site_fract_z
Ca1 Ca 0.0000 0.0000 0.0000
Ac1 Ac 0.0000 0.2236 0.2500
Ac2 Ac 0.0000 0.5000 0.2500
Ge1 Ge 0.2061 0.3645 0.0000
```



(4)
Starting from a structure optimized by DFT (PBE), the X-ray powder pattern of CaAc4Ge4 was calculated for Cu Kα (λ = 1.5418 Å).
Intensities are scaled so that the largest is 1000.

Peak list (8 most intense, 2θ = 10–80°, by angle)
2θ/deg	intensity
13.22	269
25.03	489
28.84	663
29.83	1000
32.88	297
34.62	423
42.69	317
44.19	394

Structural model:
```
data_CaAc4Ge4
_cell_length_a 9.4729
_cell_length_b 9.4729
_cell_length_c 6.5509
_cell_angle_alpha 90.00
_cell_angle_beta 90.00
_cell_angle_gamma 90.00
_space_group_name_H-M_alt 'P 42/n'
_space_group_IT_number 86
loop_
_space_group_symop_operation_xyz
'x,y,z'
'-x,-y,-z'
'-y,x+1/2,z+1/2'
'y,-x+1/2,-z+1/2'
'-x+1/2,-y+1/2,z'
'x+1/2,y+1/2,-z'
'y+1/2,-x,z+1/2'
'-y+1/2,x,-z+1/2'
loop_
_atom_site_label
_atom_site_type_symbol
_atom_site_fract_x
_atom_site_fract_y
_atom_site_fract_z
Ca1 Ca 0.2500 0.2500 0.2500
Ac1 Ac 0.0587 0.6677 0.1137
Ge1 Ge 0.0026 0.6209 0.5979
```



(5)
Starting from a structure optimized by DFT (PBE), the X-ray powder pattern of Ca3Ac2Ge4 was calculated for Cu Kα (λ = 1.5418 Å).
Intensities are scaled so that the largest is 1000.

Peak list (8 most intense, 2θ = 10–80°, by angle)
2θ/deg	intensity
15.54	1000
28.55	498
29.95	615
31.06	614
31.25	635
31.38	417
31.96	343
34.86	535

Structural model:
```
data_Ca3Ac2Ge4
_cell_length_a 8.2383
_cell_length_b 8.2213
_cell_length_c 7.8065
_cell_angle_alpha 90.00
_cell_angle_beta 106.14
_cell_angle_gamma 90.00
_space_group_name_H-M_alt 'P 1 21/c 1'
_space_group_IT_number 14
_space_group_name_Hall '-P 2ybc'
loop_
_atom_site_label
_atom_site_type_symbol
_atom_site_fract_x
_atom_site_fract_y
_atom_site_fract_z
Ca1 Ca 0.0000 0.0000 0.0000
Ca2 Ca 0.2555 0.1765 0.7486
Ac1 Ac 0.3024 0.6833 0.9182
Ge1 Ge 0.0058 0.6139 0.1217
Ge2 Ge 0.4228 0.0319 0.1263
```



(6)
Starting from a structure optimized by DFT (PBE), the X-ray powder pattern of CaAc2GeO5 was calculated for Cu Kα (λ = 1.5418 Å).
Intensities are scaled so that the largest is 1000.

Peak list (8 most intense, 2θ = 10–80°, by angle)
2θ/deg	intensity
14.33	837
28.18	458
28.88	385
29.06	705
31.75	1000
40.79	664
42.96	268
55.54	262

Structural model:
```
data_CaAc2GeO5
_cell_length_a 7.0810
_cell_length_b 7.0810
_cell_length_c 6.1824
_cell_angle_alpha 90.00
_cell_angle_beta 90.00
_cell_angle_gamma 90.00
_space_group_name_H-M_alt 'P 4/m b m'
_space_group_IT_number 127
_space_group_name_Hall '-P 4 2ab'
loop_
_atom_site_label
_atom_site_type_symbol
_atom_site_fract_x
_atom_site_fract_y
_atom_site_fract_z
Ca1 Ca 0.0000 0.0000 0.0000
Ac1 Ac 0.1720 0.3280 0.5000
Ge1 Ge 0.0000 0.5000 0.0000
O1 O 0.0000 0.0000 0.5000
O2 O 0.1477 0.6477 0.2398
```



(7)
Starting from a structure optimized by DFT (PBE), the X-ray powder pattern of CaAc2Ge4Pd3 was calculated for Cu Kα (λ = 1.5418 Å).
Intensities are scaled so that the largest is 1000.

Peak list (8 most intense, 2θ = 10–80°, by angle)
2θ/deg	intensity
28.37	303
30.90	702
32.49	1000
40.56	565
44.55	258
51.84	335
61.81	196
68.72	230

Structural model:
```
data_CaAc2Ge4Pd3
_cell_length_a 4.4484
_cell_length_b 4.4484
_cell_length_c 11.4330
_cell_angle_alpha 90.00
_cell_angle_beta 90.00
_cell_angle_gamma 90.00
_space_group_name_H-M_alt 'P -4 m 2'
_space_group_IT_number 115
_space_group_name_Hall 'P -4 -2'
loop_
_atom_site_label
_atom_site_type_symbol
_atom_site_fract_x
_atom_site_fract_y
_atom_site_fract_z
Ca1 Ca 0.0000 0.0000 0.0000
Ac1 Ac 0.0000 0.5000 0.7308
Ge1 Ge 0.0000 0.0000 0.5000
Ge2 Ge 0.0000 0.5000 0.1629
Ge3 Ge 0.5000 0.5000 0.5000
Pd1 Pd 0.0000 0.5000 0.3850
Pd2 Pd 0.5000 0.5000 0.0000
```



(8)
Starting from a structure optimized by DFT (PBE), the X-ray powder pattern of CaAcGePt was calculated for Cu Kα (λ = 1.5418 Å).
Intensities are scaled so that the largest is 1000.

Peak list (8 most intense, 2θ = 10–80°, by angle)
2θ/deg	intensity
15.63	629
30.08	1000
31.18	286
37.69	594
38.01	288
40.97	208
41.99	194
57.12	179

Structural model:
```
data_CaAcGePt
_cell_length_a 4.3031
_cell_length_b 4.4059
_cell_length_c 11.3379
_cell_angle_alpha 90.00
_cell_angle_beta 90.00
_cell_angle_gamma 90.00
_space_group_name_H-M_alt 'A m m 2'
_space_group_IT_number 38
_space_group_name_Hall 'A 2 -2'
loop_
_atom_site_label
_atom_site_type_symbol
_atom_site_fract_x
_atom_site_fract_y
_atom_site_fract_z
Ca1 Ca 0.0000 0.0000 0.0000
Ac1 Ac 0.5000 0.0000 0.2802
Ge1 Ge 0.5000 0.0000 0.5663
Pt1 Pt 0.0000 0.0000 0.7069
```



(9)
Starting from a structure optimized by DFT (PBE), the X-ray powder pattern of Ca2AcH8Ru was calculated for Cu Kα (λ = 1.5418 Å).
Intensities are scaled so that the largest is 1000.

Peak list (8 most intense, 2θ = 10–80°, by angle)
2θ/deg	intensity
20.94	1000
24.54	395
25.46	262
33.19	897
36.70	513
45.19	350
50.31	286
63.87	276

Structural model:
```
data_Ca2AcH8Ru
_cell_length_a 4.8980
_cell_length_b 4.8980
_cell_length_c 6.9970
_cell_angle_alpha 90.00
_cell_angle_beta 90.00
_cell_angle_gamma 120.00
_space_group_name_H-M_alt 'P -3 m 1'
_space_group_IT_number 164
_space_group_name_Hall '-P 3 2"'
loop_
_atom_site_label
_atom_site_type_symbol
_atom_site_fract_x
_atom_site_fract_y
_atom_site_fract_z
Ca1 Ca 0.3333 0.6667 0.3671
Ac1 Ac 0.0000 0.0000 0.0000
H1 H 0.1599 0.3198 0.6554
H2 H 0.3333 0.6667 0.0447
Ru1 Ru 0.0000 0.0000 0.5000
```



(10)
Starting from a structure optimized by DFT (PBE), the X-ray powder pattern of CaAc4Hg was calculated for Cu Kα (λ = 1.5418 Å).
Intensities are scaled so that the largest is 1000.

Peak list (8 most intense, 2θ = 10–80°, by angle)
2θ/deg	intensity
22.98	81
28.36	1000
31.63	448
32.39	182
35.20	83
45.34	169
48.04	140
54.35	338

Structural model:
```
data_CaAc4Hg
_cell_length_a 4.0001
_cell_length_b 4.0001
_cell_length_c 15.2990
_cell_angle_alpha 90.00
_cell_angle_beta 90.00
_cell_angle_gamma 90.00
_space_group_name_H-M_alt 'P 4/m m m'
_space_group_IT_number 123
_space_group_name_Hall '-P 4 2'
loop_
_atom_site_label
_atom_site_type_symbol
_atom_site_fract_x
_atom_site_fract_y
_atom_site_fract_z
Ca1 Ca 0.0000 0.0000 0.0000
Ac1 Ac 0.0000 0.0000 0.3642
Ac2 Ac 0.5000 0.5000 0.1821
Hg1 Hg 0.5000 0.5000 0.5000
```



(11)
Starting from a structure optimized by DFT (PBE), the X-ray powder pattern of Ca2AcHg4 was calculated for Cu Kα (λ = 1.5418 Å).
Intensities are scaled so that the largest is 1000.

Peak list (8 most intense, 2θ = 10–80°, by angle)
2θ/deg	intensity
19.58	136
23.29	468
25.27	172
32.56	937
33.78	1000
47.62	329
59.65	337
60.42	190

Structural model:
```
data_Ca2AcHg4
_cell_length_a 5.3072
_cell_length_b 5.3072
_cell_length_c 27.4553
_cell_angle_alpha 90.00
_cell_angle_beta 90.00
_cell_angle_gamma 120.00
_space_group_name_H-M_alt 'R -3 m'
_space_group_IT_number 166
_space_group_name_Hall '-R 3 2"'
loop_
_atom_site_label
_atom_site_type_symbol
_atom_site_fract_x
_atom_site_fract_y
_atom_site_fract_z
Ca1 Ca 0.0000 0.0000 0.2385
Ac1 Ac 0.0000 0.0000 0.0000
Hg1 Hg 0.0000 0.0000 0.1231
Hg2 Hg 0.0000 0.0000 0.3870
```



(12)
Starting from a structure optimized by DFT (PBE), the X-ray powder pattern of CaAc2Hg5 was calculated for Cu Kα (λ = 1.5418 Å).
Intensities are scaled so that the largest is 1000.

Peak list (8 most intense, 2θ = 10–80°, by angle)
2θ/deg	intensity
17.00	94
32.27	563
32.69	1000
46.29	211
57.82	403
58.61	148
68.51	94
76.85	97

Structural model:
```
data_CaAc2Hg5
_cell_length_a 5.5475
_cell_length_b 5.5475
_cell_length_c 15.3087
_cell_angle_alpha 90.00
_cell_angle_beta 90.00
_cell_angle_gamma 90.00
_space_group_name_H-M_alt 'I 4/m m m'
_space_group_IT_number 139
_space_group_name_Hall '-I 4 2'
loop_
_atom_site_label
_atom_site_type_symbol
_atom_site_fract_x
_atom_site_fract_y
_atom_site_fract_z
Ca1 Ca 0.0000 0.0000 0.0000
Ac1 Ac 0.0000 0.0000 0.2664
Hg1 Hg 0.0000 0.0000 0.5000
Hg2 Hg 0.0000 0.5000 0.1151
```